1.
Computed X-ray diffraction stick pattern
Compound: Au2IOF
Radiation: Cu Kα, 1.54184 Å
Structure: a structure optimized by DFT (PBE)
Kinematic intensities with the Lorentz-polarization factor, no thermal factor.

Top 10 peaks for 10° ≤ 2θ ≤ 80°, in order of falling intensity:
2θ (°)	d/Å	I/Imax
33.5	2.673	100
13.3	6.662	54
26.8	3.331	51
52.1	1.754	32
51.7	1.767	30
43.9	2.064	27
74.0	1.281	21
70.5	1.337	13
30.6	2.918	12
41.1	2.195	12

Atomic structure:
abc: 4.1272 4.1272 6.6619
angles: 90.00 90.00 90.00
Atoms (fractional coordinates):
Au  0.0000  0.5000  0.0000
Au  0.5000  0.0000  0.0000
I  0.0000  0.0000  0.5000
O  0.0000  0.0000  0.0000
F  0.5000  0.5000  0.5000

---

2.
Computed X-ray diffraction stick pattern
Compound: Be4VAs
Radiation: Cu Kα, 1.54184 Å
Structure: a structure optimized by DFT (PBE)
Kinematic intensities with the Lorentz-polarization factor, no thermal factor.

Top 10 peaks for 10° ≤ 2θ ≤ 80°, in order of falling intensity:
2θ (°)	d/Å	I/Imax
40.5	2.227	100
24.5	3.637	100
47.9	1.899	80
73.7	1.286	31
79.0	1.212	24
64.5	1.445	19
58.6	1.575	11
28.3	3.149	6
50.2	1.818	3
66.4	1.408	3

Atomic structure:
abc: 4.4540 4.4540 4.4540
angles: 60.00 60.00 60.00
Atoms (fractional coordinates):
Be  0.1223  0.1223  0.1223
Be  0.1223  0.1223  0.6330
Be  0.1223  0.6330  0.1223
Be  0.6330  0.1223  0.1223
V  0.7500  0.7500  0.7500
As  0.5000  0.5000  0.5000

---

3.
Computed X-ray diffraction stick pattern
Compound: Ce2Pm3Sn4
Radiation: Cu Kα, 1.54184 Å
Structure: a structure optimized by DFT (PBE)
Kinematic intensities with the Lorentz-polarization factor, no thermal factor.

Top 10 peaks for 10° ≤ 2θ ≤ 80°, in order of falling intensity:
2θ (°)	d/Å	I/Imax
31.2	2.870	100
29.9	2.986	100
33.7	2.656	92
34.6	2.594	79
30.5	2.932	59
30.8	2.906	57
33.6	2.670	49
28.0	3.184	43
28.2	3.163	38
30.6	2.920	31

Atomic structure:
abc: 8.5246 8.4970 8.1764
angles: 90.00 110.80 90.00
Atoms (fractional coordinates):
Ce  0.1926  0.1817  0.0626
Ce  0.1926  0.3183  0.5626
Ce  0.8074  0.6817  0.4374
Ce  0.8074  0.8183  0.9374
Pm  0.2438  0.6692  0.2350
Pm  0.2438  0.8308  0.7350
Pm  0.5000  0.0000  0.5000
Pm  0.5000  0.5000  0.0000
Pm  0.7562  0.1692  0.2650
Pm  0.7562  0.3308  0.7650
Sn  0.0825  0.5341  0.8323
Sn  0.0825  0.9659  0.3323
Sn  0.4853  0.1333  0.8676
Sn  0.4853  0.3667  0.3676
Sn  0.5147  0.6333  0.6324
Sn  0.5147  0.8667  0.1324
Sn  0.9175  0.0341  0.6677
Sn  0.9175  0.4659  0.1677

---

4.
Computed X-ray diffraction stick pattern
Compound: Dy4Er6Zr
Radiation: Cu Kα, 1.54184 Å
Structure: a structure optimized by DFT (PBE)
Kinematic intensities with the Lorentz-polarization factor, no thermal factor.

Top 10 peaks for 10° ≤ 2θ ≤ 80°, in order of falling intensity:
2θ (°)	d/Å	I/Imax
30.7	2.914	100
32.6	2.745	57
61.2	1.514	21
53.3	1.719	11
47.9	1.900	11
68.2	1.375	10
61.9	1.500	10
40.9	2.205	10
38.4	2.344	9
59.8	1.547	9

Atomic structure:
abc: 8.6819 8.6819 8.8195
angles: 90.00 90.00 90.00
Atoms (fractional coordinates):
Dy  0.1461  0.3539  0.2500
Dy  0.1461  0.3539  0.7500
Dy  0.3539  0.8539  0.2500
Dy  0.3539  0.8539  0.7500
Dy  0.6461  0.1461  0.2500
Dy  0.6461  0.1461  0.7500
Dy  0.8539  0.6461  0.2500
Dy  0.8539  0.6461  0.7500
Er  0.0000  0.0000  0.1744
Er  0.0000  0.0000  0.8256
Er  0.1515  0.6538  0.5000
Er  0.1538  0.6515  0.0000
Er  0.3462  0.1515  0.5000
Er  0.3485  0.1538  0.0000
Er  0.5000  0.5000  0.3256
Er  0.5000  0.5000  0.6744
Er  0.6515  0.8462  0.0000
Er  0.6538  0.8485  0.5000
Er  0.8462  0.3485  0.0000
Er  0.8485  0.3462  0.5000
Zr  0.0000  0.0000  0.5000
Zr  0.5000  0.5000  0.0000